Starting from a structure optimized by DFT (PBE), the powder XRD pattern of Na8NbO6 was simulated for Cu Kα (weighted mean of Kα1 and Kα2).

Top 12 peaks for 15 to 90 degrees two-theta, in order of falling intensity:
2theta  Rel. int.
20.65  100
15.68  54
48.30  51
44.01  44
30.53  40
34.50  39
31.29  38
28.16  36
27.33  27
44.56  25
52.58  20
60.26  19

abc: 6.527 6.527 13.254
angles: 90.00 90.00 120.00
Fractional positions:
Na  0.000  0.303  0.000
Na  0.000  0.398  0.359
Na  0.000  0.602  0.859
Na  0.000  0.697  0.500
Na  0.303  0.000  0.000
Na  0.303  0.303  0.500
Na  0.333  0.667  0.140
Na  0.333  0.667  0.640
Na  0.398  0.000  0.359
Na  0.398  0.398  0.859
Na  0.602  0.000  0.859
Na  0.602  0.602  0.359
Na  0.667  0.333  0.140
Na  0.667  0.333  0.640
Na  0.697  0.000  0.500
Na  0.697  0.697  0.000
Nb  0.000  0.000  0.221
Nb  0.000  0.000  0.721
O  0.000  0.000  0.365
O  0.000  0.000  0.865
O  0.000  0.280  0.184
O  0.000  0.720  0.684
O  0.280  0.000  0.184
O  0.280  0.280  0.684
O  0.333  0.667  0.453
O  0.333  0.667  0.953
O  0.667  0.333  0.453
O  0.667  0.333  0.953
O  0.720  0.000  0.684
O  0.720  0.720  0.184

Starting from a structure optimized by DFT (PBE), the powder XRD pattern of Mg2MnCo3S8 was simulated for Cu Kα (weighted mean of Kα1 and Kα2).

Top 12 peaks for 15 to 90 degrees two-theta, in order of falling intensity:
2theta  Rel. int.
15.54  100
36.37  91
29.97  52
52.29  42
52.47  40
47.81  38
47.90  17
30.06  16
65.37  12
25.51  11
77.24  10
73.56  9

abc: 6.976 6.976 6.976
angles: 60.21 60.21 60.21
Fractional positions:
Mg  0.125  0.125  0.125
Mg  0.875  0.875  0.875
Mn  0.500  0.500  0.500
Co  0.000  0.500  0.500
Co  0.500  0.000  0.500
Co  0.500  0.500  0.000
S  0.264  0.264  0.698
S  0.264  0.698  0.264
S  0.268  0.268  0.268
S  0.302  0.736  0.736
S  0.698  0.264  0.264
S  0.732  0.732  0.732
S  0.736  0.302  0.736
S  0.736  0.736  0.302

Starting from a structure optimized by DFT (PBE), the powder XRD pattern of Ca2SnS4 was simulated for Cu Kα (weighted mean of Kα1 and Kα2).

Top 12 peaks for 15 to 90 degrees two-theta, in order of falling intensity:
2theta  Rel. int.
36.10  100
17.82  71
18.22  37
17.44  32
29.24  31
36.93  28
30.68  26
31.35  22
31.60  22
25.32  21
23.88  17
50.32  17

abc: 9.737 6.185 6.185
angles: 110.60 90.00 90.00
Fractional positions:
Ca  0.000  0.000  0.000
Ca  0.250  0.732  0.353
Ca  0.500  0.000  0.000
Ca  0.750  0.353  0.732
Sn  0.250  0.307  0.751
Sn  0.750  0.751  0.307
S  0.053  0.092  0.556
S  0.250  0.260  0.128
S  0.250  0.715  0.826
S  0.447  0.092  0.556
S  0.553  0.556  0.092
S  0.750  0.128  0.260
S  0.750  0.826  0.715
S  0.947  0.556  0.092

Starting from a structure optimized by DFT (PBE), the powder XRD pattern of SbXeF9 was simulated for Cu Kα (weighted mean of Kα1 and Kα2).

Top 12 peaks for 15 to 90 degrees two-theta, in order of falling intensity:
2theta  Rel. int.
19.83  100
20.18  76
25.65  64
22.43  35
24.63  34
20.54  24
42.32  23
40.30  18
30.35  18
18.08  17
41.06  14
24.11  14

abc: 5.564 15.855 9.490
angles: 90.00 112.00 90.00
Fractional positions:
Sb  0.043  0.082  0.278
Sb  0.043  0.418  0.778
Sb  0.957  0.582  0.222
Sb  0.957  0.918  0.722
Xe  0.390  0.137  0.781
Xe  0.390  0.363  0.281
Xe  0.610  0.637  0.719
Xe  0.610  0.863  0.219
F  0.068  0.029  0.664
F  0.068  0.471  0.164
F  0.146  0.187  0.220
F  0.146  0.313  0.720
F  0.183  0.130  0.913
F  0.183  0.370  0.413
F  0.201  0.635  0.155
F  0.201  0.865  0.655
F  0.214  0.563  0.420
F  0.214  0.937  0.920
F  0.293  0.021  0.227
F  0.293  0.479  0.727
F  0.296  0.090  0.483
F  0.296  0.410  0.983
F  0.340  0.672  0.801
F  0.340  0.828  0.301
F  0.425  0.721  0.565
F  0.425  0.779  0.065
F  0.575  0.221  0.935
F  0.575  0.279  0.435
F  0.660  0.172  0.699
F  0.660  0.328  0.199
F  0.704  0.590  0.017
F  0.704  0.910  0.517
F  0.707  0.521  0.273
F  0.707  0.979  0.773
F  0.786  0.063  0.080
F  0.786  0.437  0.580
F  0.799  0.135  0.345
F  0.799  0.365  0.845
F  0.817  0.630  0.587
F  0.817  0.870  0.087
F  0.854  0.687  0.280
F  0.854  0.813  0.780
F  0.932  0.529  0.836
F  0.932  0.971  0.336

Starting from a structure optimized by DFT (PBE), the powder XRD pattern of CaEuMgNbO6 was simulated for Cu Kα (weighted mean of Kα1 and Kα2).

Top 12 peaks for 15 to 90 degrees two-theta, in order of falling intensity:
2theta  Rel. int.
31.70  100
19.25  47
56.46  39
45.44  38
37.35  27
66.21  22
75.27  17
39.08  14
49.78  12
60.22  9
69.67  9
83.97  7

abc: 5.646 5.646 5.646
angles: 60.00 60.00 60.00
Fractional positions:
Ca  0.000  0.000  0.000
Eu  0.500  0.500  0.500
Mg  0.250  0.250  0.250
Nb  0.750  0.750  0.750
O  0.501  0.501  0.999
O  0.501  0.999  0.501
O  0.501  0.999  0.999
O  0.999  0.501  0.501
O  0.999  0.501  0.999
O  0.999  0.999  0.501

Starting from a structure optimized by DFT (PBE), the powder XRD pattern of Ta2TiN3 was simulated for Cu Kα (weighted mean of Kα1 and Kα2).

Top 12 peaks for 15 to 90 degrees two-theta, in order of falling intensity:
2theta  Rel. int.
34.13  100
46.39  59
19.51  54
36.43  50
50.78  29
74.00  22
30.46  21
62.61  21
61.10  19
69.81  18
71.88  14
80.04  10

abc: 5.254 5.254 2.934
angles: 90.00 90.00 120.00
Fractional positions:
Ta  0.333  0.667  0.000
Ta  0.667  0.333  0.000
Ti  0.000  0.000  0.500
N  0.000  0.500  0.500
N  0.500  0.000  0.500
N  0.500  0.500  0.500